[1]
# Ba2GaSiP
Theoretical powder diffraction line list, copper Kα. Input: a DFT-relaxed cell (GGA-PBE, Alexandria).
Intensities are scaled so that the largest is 100.

The 10 most intense peaks (2θ from 10° to 90°), by angle:
3.799 Å, 23.4°, I = 43.2; 3.781 Å, 23.5°, I = 84.7; 3.572 Å, 24.9°, I = 64.6; 3.502 Å, 25.4°, I = 74.4; 3.203 Å, 27.8°, I = 73.6; 3.186 Å, 28.0°, I = 100.0; 2.469 Å, 36.4°, I = 47.0; 2.240 Å, 40.3°, I = 28.6; 2.190 Å, 41.2°, I = 28.1; 2.179 Å, 41.4°, I = 39.0

Cell and atoms:
abc: 7.9449 4.3587 9.8784
angles: 90.00 106.97 90.00
Element x y z (fractional)
1 Ba 0.2045 0.2500 0.4110
2 Ba 0.2285 0.2500 0.9549
3 Ba 0.7715 0.7500 0.0451
4 Ba 0.7955 0.7500 0.5890
5 Ga 0.4812 0.7500 0.2578
6 Ga 0.5188 0.2500 0.7422
7 Si 0.3496 0.7500 0.7033
8 Si 0.6504 0.2500 0.2967
9 P 0.1766 0.7500 0.1757
10 P 0.8234 0.2500 0.8243

=====

[2]
# BaZnGaP2
Theoretical powder diffraction line list, copper Kα. Input: a DFT-relaxed cell (GGA-PBE, Alexandria).
Intensities are scaled so that the largest is 100.

The 10 most intense peaks (2θ from 10° to 90°), by angle:
4.043 Å, 22.0°, I = 48.7; 3.254 Å, 27.4°, I = 41.4; 3.037 Å, 29.4°, I = 100.0; 2.902 Å, 30.8°, I = 25.2; 2.818 Å, 31.8°, I = 87.8; 2.440 Å, 36.8°, I = 33.2; 2.220 Å, 40.6°, I = 30.1; 2.047 Å, 44.3°, I = 23.5; 1.787 Å, 51.1°, I = 18.8; 1.782 Å, 51.3°, I = 31.1

Cell and atoms:
abc: 7.1231 6.2521 5.8040
angles: 90.00 113.98 90.00
Element x y z (fractional)
1 Ba 0.0000 0.2491 0.2500
2 Ba 0.0000 0.7509 0.7500
3 Zn 0.5000 0.5002 0.2500
4 Zn 0.5000 0.4998 0.7500
5 Ga 0.5000 0.0000 0.0000
6 Ga 0.5000 0.0000 0.5000
7 P 0.2721 0.2793 0.8863
8 P 0.2721 0.7207 0.3863
9 P 0.7279 0.2793 0.6137
10 P 0.7279 0.7207 0.1137

=====

[3]
# BaGaPb3
Theoretical powder diffraction line list, copper Kα. Input: a DFT-relaxed cell (GGA-PBE, Alexandria).
Intensities are scaled so that the largest is 100.

The 10 most intense peaks (2θ from 10° to 90°), by angle:
4.933 Å, 18.0°, I = 15.8; 4.026 Å, 22.1°, I = 16.8; 3.505 Å, 25.4°, I = 18.9; 3.478 Å, 25.6°, I = 25.5; 3.130 Å, 28.5°, I = 17.2; 2.842 Å, 31.5°, I = 100.0; 2.469 Å, 36.4°, I = 29.0; 2.215 Å, 40.7°, I = 17.2; 2.201 Å, 41.0°, I = 17.9; 1.488 Å, 62.4°, I = 16.4

Cell and atoms:
abc: 6.9508 7.0105 6.9568
angles: 90.00 90.00 90.00
Element x y z (fractional)
1 Ba 0.0000 0.2350 0.0000
2 Ba 0.5000 0.7650 0.5000
3 Ga 0.0000 0.6001 0.6650
4 Ga 0.5000 0.3999 0.1650
5 Pb 0.0000 0.8931 0.3775
6 Pb 0.2503 0.2770 0.5040
7 Pb 0.2497 0.7230 0.0040
8 Pb 0.5000 0.1069 0.8775
9 Pb 0.7497 0.2770 0.5040
10 Pb 0.7503 0.7230 0.0040

=====

[4]
# Ba3Ga2Pd4Pb2
Theoretical powder diffraction line list, copper Kα. Input: a DFT-relaxed cell (GGA-PBE, Alexandria).
Intensities are scaled so that the largest is 100.

The 10 most intense peaks (2θ from 10° to 90°), by angle:
3.885 Å, 22.9°, I = 28.2; 3.613 Å, 24.6°, I = 25.1; 3.265 Å, 27.3°, I = 55.2; 2.912 Å, 30.7°, I = 97.7; 2.435 Å, 36.9°, I = 23.6; 2.314 Å, 38.9°, I = 21.3; 2.304 Å, 39.1°, I = 100.0; 1.807 Å, 50.5°, I = 24.1; 1.673 Å, 54.9°, I = 45.0; 1.422 Å, 65.7°, I = 21.9

Cell and atoms:
abc: 4.6070 4.6070 17.0418
angles: 90.00 90.00 120.00
Element x y z (fractional)
1 Ba 0.0000 0.0000 0.0000
2 Ba 0.0000 0.0000 0.2694
3 Ba 0.0000 0.0000 0.7306
4 Ga 0.3333 0.6667 0.1364
5 Ga 0.6667 0.3333 0.8636
6 Pd 0.3333 0.6667 0.3945
7 Pd 0.3333 0.6667 0.8649
8 Pd 0.6667 0.3333 0.1351
9 Pd 0.6667 0.3333 0.6055
10 Pb 0.3333 0.6667 0.5634
11 Pb 0.6667 0.3333 0.4366

=====

[5]
# Ba3Ga2Pd6
Theoretical powder diffraction line list, copper Kα. Input: a DFT-relaxed cell (GGA-PBE, Alexandria).
Intensities are scaled so that the largest is 100.

The 10 most intense peaks (2θ from 10° to 90°), by angle:
7.097 Å, 12.5°, I = 14.6; 3.174 Å, 28.1°, I = 23.8; 2.683 Å, 33.4°, I = 26.6; 2.509 Å, 35.8°, I = 21.4; 2.366 Å, 38.0°, I = 100.0; 1.721 Å, 53.2°, I = 10.9; 1.673 Å, 54.9°, I = 10.9; 1.628 Å, 56.5°, I = 16.3; 1.513 Å, 61.3°, I = 12.4; 1.366 Å, 68.7°, I = 24.7

Cell and atoms:
abc: 8.6924 8.6924 8.6924
angles: 109.47 109.47 109.47
Element x y z (fractional)
1 Ba 0.0000 0.2980 0.2980
2 Ba 0.0000 0.7020 0.7020
3 Ba 0.2980 0.0000 0.2980
4 Ba 0.2980 0.2980 0.0000
5 Ba 0.7020 0.0000 0.7020
6 Ba 0.7020 0.7020 0.0000
7 Ga 0.0000 0.0000 0.5000
8 Ga 0.0000 0.5000 0.0000
9 Ga 0.5000 0.0000 0.0000
10 Ga 0.5000 0.5000 0.5000
11 Pd 0.0000 0.3211 0.6789
12 Pd 0.0000 0.6789 0.3211
13 Pd 0.3211 0.0000 0.6789
14 Pd 0.3211 0.3211 0.6421
15 Pd 0.3211 0.6421 0.3211
16 Pd 0.3211 0.6789 0.0000
17 Pd 0.3579 0.6789 0.6789
18 Pd 0.6421 0.3211 0.3211
19 Pd 0.6789 0.0000 0.3211
20 Pd 0.6789 0.3211 0.0000
21 Pd 0.6789 0.3579 0.6789
22 Pd 0.6789 0.6789 0.3579

=====

[6]
# Ba4Ga2Pd
Theoretical powder diffraction line list, copper Kα. Input: a DFT-relaxed cell (GGA-PBE, Alexandria).
Intensities are scaled so that the largest is 100.

The 10 most intense peaks (2θ from 10° to 90°), by angle:
7.944 Å, 11.1°, I = 36.2; 4.415 Å, 20.1°, I = 25.6; 3.972 Å, 22.4°, I = 17.6; 3.859 Å, 23.0°, I = 51.9; 3.122 Å, 28.6°, I = 100.0; 2.832 Å, 31.6°, I = 66.6; 2.455 Å, 36.6°, I = 19.6; 2.208 Å, 40.9°, I = 37.7; 2.098 Å, 43.1°, I = 55.8; 1.521 Å, 60.9°, I = 19.8

Cell and atoms:
abc: 6.2439 6.2439 15.8881
angles: 90.00 90.00 90.00
Element x y z (fractional)
1 Ba 0.0000 0.0000 0.1982
2 Ba 0.0000 0.0000 0.8018
3 Ba 0.0000 0.5000 0.0000
4 Ba 0.0000 0.5000 0.5000
5 Ba 0.5000 0.0000 0.0000
6 Ba 0.5000 0.0000 0.5000
7 Ba 0.5000 0.5000 0.3018
8 Ba 0.5000 0.5000 0.6982
9 Ga 0.0000 0.0000 0.4077
10 Ga 0.0000 0.0000 0.5923
11 Ga 0.5000 0.5000 0.0923
12 Ga 0.5000 0.5000 0.9077
13 Pd 0.0000 0.0000 0.0000
14 Pd 0.5000 0.5000 0.5000

=====

[7]
# Ba2Ga5Pd
Theoretical powder diffraction line list, copper Kα. Input: a DFT-relaxed cell (GGA-PBE, Alexandria).
Intensities are scaled so that the largest is 100.

The 10 most intense peaks (2θ from 10° to 90°), by angle:
3.259 Å, 27.4°, I = 30.6; 2.895 Å, 30.9°, I = 100.0; 2.832 Å, 31.6°, I = 94.7; 2.580 Å, 34.8°, I = 40.0; 2.515 Å, 35.7°, I = 31.0; 2.360 Å, 38.1°, I = 18.7; 2.328 Å, 38.7°, I = 50.9; 2.016 Å, 45.0°, I = 20.8; 1.709 Å, 53.6°, I = 18.8; 1.446 Å, 64.4°, I = 19.7

Cell and atoms:
abc: 9.2166 9.2166 9.4406
angles: 90.00 90.00 150.73
Element x y z (fractional)
1 Ba 0.0000 0.0000 0.0000
2 Ba 0.0000 0.0000 0.5000
3 Ba 0.2026 0.7974 0.7500
4 Ba 0.7974 0.2026 0.2500
5 Ga 0.1856 0.8144 0.1099
6 Ga 0.1856 0.8144 0.3901
7 Ga 0.3554 0.6446 0.0189
8 Ga 0.3554 0.6446 0.4811
9 Ga 0.4144 0.5856 0.7500
10 Ga 0.5856 0.4144 0.2500
11 Ga 0.6446 0.3554 0.5189
12 Ga 0.6446 0.3554 0.9811
13 Ga 0.8144 0.1856 0.6099
14 Ga 0.8144 0.1856 0.8901
15 Pd 0.4395 0.5605 0.2500
16 Pd 0.5605 0.4395 0.7500

=====

[8]
# Ba3Ga4Pd4
Theoretical powder diffraction line list, copper Kα. Input: a DFT-relaxed cell (GGA-PBE, Alexandria).
Intensities are scaled so that the largest is 100.

The 10 most intense peaks (2θ from 10° to 90°), by angle:
5.739 Å, 15.4°, I = 22.0; 3.313 Å, 26.9°, I = 32.0; 2.869 Å, 31.2°, I = 93.7; 2.566 Å, 35.0°, I = 100.0; 2.343 Å, 38.4°, I = 22.4; 2.169 Å, 41.6°, I = 42.3; 1.913 Å, 47.5°, I = 43.6; 1.815 Å, 50.3°, I = 29.3; 1.435 Å, 65.0°, I = 24.8; 1.223 Å, 78.1°, I = 22.7

Cell and atoms:
abc: 7.0285 7.0285 7.0285
angles: 109.47 109.47 109.47
Element x y z (fractional)
1 Ba 0.0000 0.5000 0.5000
2 Ba 0.5000 0.0000 0.5000
3 Ba 0.5000 0.5000 0.0000
4 Ga 0.0000 0.0000 0.6240
5 Ga 0.0000 0.6240 0.0000
6 Ga 0.3760 0.3760 0.3760
7 Ga 0.6240 0.0000 0.0000
8 Pd 0.0000 0.0000 0.2626
9 Pd 0.0000 0.2626 0.0000
10 Pd 0.2626 0.0000 0.0000
11 Pd 0.7374 0.7374 0.7374

=====

[9]
# Ba3Ga4Pd2
Theoretical powder diffraction line list, copper Kα. Input: a DFT-relaxed cell (GGA-PBE, Alexandria).
Intensities are scaled so that the largest is 100.

The 10 most intense peaks (2θ from 10° to 90°), by angle:
3.056 Å, 29.2°, I = 100.0; 2.506 Å, 35.8°, I = 17.5; 2.227 Å, 40.5°, I = 41.1; 1.800 Å, 50.7°, I = 21.1; 1.664 Å, 55.2°, I = 29.6; 1.533 Å, 60.4°, I = 9.8; 1.400 Å, 66.8°, I = 18.4; 1.286 Å, 73.7°, I = 6.9; 1.144 Å, 84.7°, I = 8.6; 1.098 Å, 89.2°, I = 6.9

Cell and atoms:
abc: 4.4536 4.4536 30.0665
angles: 90.00 90.00 120.00
Element x y z (fractional)
1 Ba 0.0000 0.0000 0.0746
2 Ba 0.0000 0.0000 0.2503
3 Ba 0.0000 0.0000 0.4129
4 Ba 0.0000 0.0000 0.5871
5 Ba 0.0000 0.0000 0.7497
6 Ba 0.0000 0.0000 0.9254
7 Ga 0.3333 0.6667 0.1631
8 Ga 0.3333 0.6667 0.3313
9 Ga 0.3333 0.6667 0.5000
10 Ga 0.3333 0.6667 0.6687
11 Ga 0.3333 0.6667 0.8369
12 Ga 0.6667 0.3333 0.1624
13 Ga 0.6667 0.3333 0.5000
14 Ga 0.6667 0.3333 0.8376
15 Pd 0.3333 0.6667 0.0000
16 Pd 0.6667 0.3333 0.0000
17 Pd 0.6667 0.3333 0.3309
18 Pd 0.6667 0.3333 0.6691

=====

[10]
# Ba2Ga3Pd
Theoretical powder diffraction line list, copper Kα. Input: a DFT-relaxed cell (GGA-PBE, Alexandria).
Intensities are scaled so that the largest is 100.

The 10 most intense peaks (2θ from 10° to 90°), by angle:
3.066 Å, 29.1°, I = 100.0; 3.047 Å, 29.3°, I = 50.7; 2.510 Å, 35.8°, I = 27.2; 2.242 Å, 40.2°, I = 20.3; 2.220 Å, 40.6°, I = 39.4; 1.806 Å, 50.5°, I = 21.9; 1.791 Å, 51.0°, I = 9.9; 1.672 Å, 54.9°, I = 15.6; 1.663 Å, 55.2°, I = 30.4; 1.536 Å, 60.2°, I = 11.1

Cell and atoms:
abc: 9.1645 8.8819 6.7320
angles: 70.35 65.88 43.77
Element x y z (fractional)
1 Ba 0.2331 0.7669 0.2331
2 Ba 0.2500 0.2500 0.2500
3 Ba 0.7500 0.7500 0.7500
4 Ba 0.7669 0.2331 0.7669
5 Ga 0.1693 0.6622 0.8307
6 Ga 0.3333 0.3333 0.6667
7 Ga 0.3378 0.8307 0.6622
8 Ga 0.6622 0.1693 0.3378
9 Ga 0.6667 0.6667 0.3333
10 Ga 0.8307 0.3378 0.1693
11 Pd 0.1659 0.1659 0.8341
12 Pd 0.8341 0.8341 0.1659

=====

[11]
# Ba8GaPd2
Theoretical powder diffraction line list, copper Kα. Input: a DFT-relaxed cell (GGA-PBE, Alexandria).
Intensities are scaled so that the largest is 100.

The 10 most intense peaks (2θ from 10° to 90°), by angle:
4.446 Å, 20.0°, I = 46.6; 3.709 Å, 24.0°, I = 100.0; 3.362 Å, 26.5°, I = 36.2; 2.682 Å, 33.4°, I = 40.6; 2.567 Å, 35.0°, I = 64.3; 2.111 Å, 42.8°, I = 21.0; 2.040 Å, 44.4°, I = 51.2; 2.001 Å, 45.3°, I = 18.4; 1.630 Å, 56.4°, I = 18.4; 1.406 Å, 66.5°, I = 19.0

Cell and atoms:
abc: 6.7237 10.2637 10.2672
angles: 60.04 89.99 90.00
Element x y z (fractional)
1 Ba 0.2436 0.3333 0.3335
2 Ba 0.2503 0.3255 0.8382
3 Ba 0.2504 0.8365 0.3255
4 Ba 0.2503 0.8380 0.8364
5 Ba 0.7497 0.1620 0.1636
6 Ba 0.7496 0.1635 0.6745
7 Ba 0.7497 0.6745 0.1618
8 Ba 0.7564 0.6667 0.6665
9 Ga 0.5000 0.0000 0.0000
10 Pd 0.2651 0.6666 0.6665
11 Pd 0.7349 0.3334 0.3335

=====

[12]
# Ba2Ga6PdPt
Theoretical powder diffraction line list, copper Kα. Input: a DFT-relaxed cell (GGA-PBE, Alexandria).
Intensities are scaled so that the largest is 100.

The 10 most intense peaks (2θ from 10° to 90°), by angle:
4.865 Å, 18.2°, I = 32.2; 3.332 Å, 26.8°, I = 100.0; 3.066 Å, 29.1°, I = 50.2; 2.916 Å, 30.7°, I = 68.8; 2.433 Å, 37.0°, I = 83.5; 2.359 Å, 38.1°, I = 37.3; 2.236 Å, 40.3°, I = 38.5; 1.965 Å, 46.2°, I = 47.6; 1.833 Å, 49.8°, I = 35.2; 1.665 Å, 55.1°, I = 34.3

Cell and atoms:
abc: 6.6613 6.6626 7.1475
angles: 62.34 62.29 60.05
Element x y z (fractional)
1 Ba 0.2059 0.2050 0.3830
2 Ba 0.7941 0.7950 0.6170
3 Ga 0.2467 0.6509 0.8471
4 Ga 0.2557 0.2470 0.8469
5 Ga 0.3491 0.7433 0.1530
6 Ga 0.6509 0.2567 0.8470
7 Ga 0.7443 0.7530 0.1531
8 Ga 0.7533 0.3491 0.1529
9 Pd 0.0000 0.0000 0.0000
10 Pt 0.5000 0.5000 0.5000

=====

[13]
# Ba2ZnGa6Pd
Theoretical powder diffraction line list, copper Kα. Input: a DFT-relaxed cell (GGA-PBE, Alexandria).
Intensities are scaled so that the largest is 100.

The 10 most intense peaks (2θ from 10° to 90°), by angle:
3.333 Å, 26.7°, I = 93.3; 3.133 Å, 28.5°, I = 100.0; 3.119 Å, 28.6°, I = 48.8; 2.932 Å, 30.5°, I = 31.8; 2.753 Å, 32.5°, I = 39.5; 2.456 Å, 36.6°, I = 53.1; 2.169 Å, 41.6°, I = 34.6; 1.972 Å, 46.0°, I = 30.3; 1.838 Å, 49.6°, I = 37.9; 1.667 Å, 55.1°, I = 40.7

Cell and atoms:
abc: 6.6599 6.6699 7.2882
angles: 63.14 62.81 60.06
Element x y z (fractional)
1 Ba 0.2037 0.2050 0.3878
2 Ba 0.7963 0.7950 0.6122
3 Zn 0.5000 0.5000 0.5000
4 Ga 0.2484 0.6425 0.8570
5 Ga 0.2530 0.2477 0.8547
6 Ga 0.3552 0.7481 0.1456
7 Ga 0.6448 0.2519 0.8544
8 Ga 0.7470 0.7523 0.1453
9 Ga 0.7516 0.3575 0.1430
10 Pd 0.0000 0.0000 0.0000